Starting from a cell relaxed with PBE, the powder XRD pattern of K3PbCl7 was simulated for Cu Kα.
Neutral-atom scattering factors, no anomalous dispersion.

```
K3PbCl7
1.0
5.293 -5.013 0.000
5.293 5.013 0.000
-3.273 0.000 7.187
K Pb Cl
3 1 7
Direct
0.000 0.000 0.000
0.289 0.738 0.536
0.738 0.289 0.536
0.495 0.495 0.023
0.165 0.532 0.800
0.345 0.345 0.216
0.449 0.831 0.233
0.532 0.165 0.800
0.657 0.657 0.848
0.831 0.449 0.233
0.960 0.960 0.607
```

Top 6 peaks for 2θ = 10–90°, sorted by position:
- d = 7.187 Å, 12.31 deg, I 42.7
- d = 6.947 Å, 12.74 deg, I 100.0
- d = 5.964 Å, 14.85 deg, I 55.5
- d = 4.817 Å, 18.42 deg, I 41.7
- d = 4.112 Å, 21.61 deg, I 60.3
- d = 2.815 Å, 31.79 deg, I 48.2



Starting from a cell relaxed with PBE, the powder XRD pattern of KPbCl5 was simulated for Cu Kα.
Neutral-atom scattering factors, no anomalous dispersion.

```
KPbCl5
1.0
4.072 -5.974 0.000
4.072 5.974 0.000
-2.228 0.000 9.556
K Pb Cl
2 2 10
Direct
0.120 0.880 0.750
0.880 0.120 0.250
0.500 0.500 0.000
0.500 0.500 0.500
0.132 0.265 0.976
0.207 0.574 0.392
0.265 0.132 0.476
0.400 0.600 0.750
0.426 0.793 0.108
0.574 0.207 0.892
0.600 0.400 0.250
0.735 0.868 0.524
0.793 0.426 0.608
0.868 0.735 0.024
```

Top 6 peaks for 2θ = 10–90°, sorted by position:
- d = 6.607 Å, 13.40 deg, I 100.0
- d = 5.974 Å, 14.83 deg, I 46.7
- d = 4.778 Å, 18.57 deg, I 26.1
- d = 4.275 Å, 20.78 deg, I 46.0
- d = 3.731 Å, 23.85 deg, I 33.2
- d = 3.562 Å, 25.00 deg, I 26.7



Number 1 is which compound? K3PbCl7



Repeat the second record exactly.
Starting from a cell relaxed with PBE, the powder XRD pattern of KPbCl5 was simulated for Cu Kα.
Neutral-atom scattering factors, no anomalous dispersion.

```
KPbCl5
1.0
4.072 -5.974 0.000
4.072 5.974 0.000
-2.228 0.000 9.556
K Pb Cl
2 2 10
Direct
0.120 0.880 0.750
0.880 0.120 0.250
0.500 0.500 0.000
0.500 0.500 0.500
0.132 0.265 0.976
0.207 0.574 0.392
0.265 0.132 0.476
0.400 0.600 0.750
0.426 0.793 0.108
0.574 0.207 0.892
0.600 0.400 0.250
0.735 0.868 0.524
0.793 0.426 0.608
0.868 0.735 0.024
```

Top 6 peaks for 2θ = 10–90°, sorted by position:
- d = 6.607 Å, 13.40 deg, I 100.0
- d = 5.974 Å, 14.83 deg, I 46.7
- d = 4.778 Å, 18.57 deg, I 26.1
- d = 4.275 Å, 20.78 deg, I 46.0
- d = 3.731 Å, 23.85 deg, I 33.2
- d = 3.562 Å, 25.00 deg, I 26.7